Calculated X-ray diffraction stick pattern of ThFeNi3 for Cu Kα X-rays, from a GGA-PBE-relaxed structure.
Lines closer than 0.1° are merged.

Peak list (10 most intense, 2θ from 10° to 90°, by angle)
| (hkl) | Position (°2θ) | Rel. int. |
| --- | --- | --- |
| 0 1 1 | 24.47 | 35 |
| 1 1 0 | 30.20 | 50 |
| 0 0 2 | 34.75 | 26 |
| 1 0 2 | 39.06 | 29 |
| 2 0 1 | 39.24 | 100 |
| 2 0 2 | 50.15 | 28 |
| 1 2 1 | 50.30 | 31 |
| 2 2 0 | 62.80 | 17 |
| 2 0 3 | 65.30 | 22 |
| 3 1 1 | 68.45 | 12 |

Cell and atoms:
a b c (Å): 5.9186 5.9186 5.1638
angles (deg): 90.00 90.00 120.00
Space group P-3m1 (No. 164)
Asymmetric unit:
Th: 0.3333 0.6667 0.2507 [2 per cell]
Fe: 0.0000 0.0000 0.0000 [1 per cell]
Fe: 0.0000 0.0000 0.5000 [1 per cell]
Ni: 0.1970 0.3939 0.7510 [6 per cell]

***

Calculated X-ray diffraction stick pattern of U3O7 for Cu Kα X-rays, from a GGA-PBE-relaxed structure.
Lines closer than 0.1° are merged.

Peak list (10 most intense, 2θ from 10° to 90°, by angle)
| (hkl) | Position (°2θ) | Rel. int. |
| --- | --- | --- |
| 1 1 0 | 28.59 | 100 |
| 0 1 3 | 28.75 | 95 |
| 0 2 0 | 32.28 | 30 |
| 1 0 3 | 33.69 | 51 |
| 1 2 3 | 47.35 | 69 |
| 2 0 0 | 48.19 | 17 |
| 0 0 6 | 48.58 | 15 |
| 1 3 0 | 55.37 | 33 |
| 2 1 3 | 57.08 | 30 |
| 1 1 6 | 57.34 | 26 |

Cell and atoms:
a b c (Å): 3.777 5.546 11.244
angles (deg): 90.00 90.00 90.00
Space group Immm (No. 71)
Asymmetric unit:
U: 0.000 0.000 0.000 [2 per cell]
U: 0.000 0.000 0.346 [4 per cell]
O: 0.000 0.231 0.176 [8 per cell]
O: 0.000 0.284 0.500 [4 per cell]
O: 0.000 0.500 0.000 [2 per cell]

***

Calculated X-ray diffraction stick pattern of PmNdCu2S4 for Cu Kα X-rays, from a GGA-PBE-relaxed structure.
Lines closer than 0.1° are merged.

Peak list (10 most intense, 2θ from 10° to 90°, by angle)
| (hkl) | Position (°2θ) | Rel. int. |
| --- | --- | --- |
| 1 1 0 | 18.88 | 25 |
| 0 2 0 | 26.74 | 21 |
| 2 0 0 | 26.90 | 21 |
| 1 1 2 | 30.36 | 100 |
| 0 2 2 | 35.94 | 23 |
| 2 0 2 | 36.06 | 23 |
| 2 2 0 | 38.28 | 65 |
| 1 3 2 | 49.54 | 25 |
| 3 1 2 | 49.73 | 24 |
| 1 1 4 | 52.22 | 19 |

Cell and atoms:
a b c (Å): 6.629 6.668 7.551
angles (deg): 90.00 90.00 90.00
Space group I222 (No. 23)
Asymmetric unit:
Pm: 0.000 0.000 0.000 [2 per cell]
Nd: 0.000 0.000 0.500 [2 per cell]
Cu: 0.000 0.500 0.326 [4 per cell]
S: 0.238 0.268 0.291 [8 per cell]